RbCoAs2O6: simulated PXRD pattern (a wavelength of 1.5418 Å), based on a DFT-relaxed cell (PBE+U, Alexandria).
Peak positions follow from Bragg's law for the DFT cell and can differ from measured ones.

The 10 most intense peaks (2θ = 5–70°), by angle:
- 26.3°, I = 100
- 32.1°, I = 39
- 42.0°, I = 18
- 42.4°, I = 21
- 53.9°, I = 24
- 54.2°, I = 12
- 57.3°, I = 13
- 64.4°, I = 12
- 67.2°, I = 6
- 68.1°, I = 10

Structural model:
a b c (Å): 7.107 7.107 7.107
angles (deg): 46.13 46.13 46.13
Element x y z (fractional)
Rb  0.000  0.000  0.000
Co  0.500  0.500  0.500
As  0.241  0.241  0.241
As  0.759  0.759  0.759
O  0.101  0.501  0.715
O  0.285  0.899  0.499
O  0.499  0.285  0.899
O  0.501  0.715  0.101
O  0.715  0.101  0.501
O  0.899  0.499  0.285